For Ba3CaLa2Cu6O13, DFT lattice parameters and positions (GGA-PBE) gives the calculated powder XRD pattern in this record (CuKα).
Peak positions follow from Bragg's law for the DFT cell and can differ from measured ones.

Structural model:
Unit cell a=7.8084 b=7.9479 c=12.3885 alpha=90.00 beta=107.27 gamma=90.00
Space group Cm (No. 8)
Inequivalent atoms, fractional coordinates:
Ba  0.0000  0.0000  0.0000
Ba  0.0112  0.5000  0.0082
Ba  0.1982  0.0000  0.3742
Ca  0.1986  0.5000  0.3909
La  0.3540  0.0000  0.6871
La  0.3538  0.5000  0.6863
Cu  0.0306  0.2508  0.5330
Cu  0.1741  0.2495  0.8356
Cu  0.3580  0.2665  0.1996
O  0.0300  0.0000  0.5452
O  0.0454  0.5000  0.5568
O  0.1668  0.5000  0.8233
O  0.1676  0.0000  0.8208
O  0.2686  0.2401  0.0464
O  0.2910  0.2503  0.5535
O  0.3299  0.5000  0.2276
O  0.4167  0.2503  0.8202
O  0.4759  0.2064  0.3444

Peak list (6 most intense, 15 to 90 degrees two-theta, low angle first)
| 2θ/deg | I (rel.) | h k l |
| --- | --- | --- |
| 31.97 | 100 | 2 0 2 |
| 32.14 | 68 | 2 2 -1 |
| 32.58 | 34 | 2 0 -4 |
| 45.66 | 20 | 0 4 0 |
| 56.83 | 23 | 2 4 2 |
| 57.19 | 25 | 2 4 -4 |

---

For Ba3CaLa2Cu6O13, DFT lattice parameters and positions (GGA-PBE) gives the calculated powder XRD pattern in this record (CuKα).
Peak positions follow from Bragg's law for the DFT cell and can differ from measured ones.

Structural model:
Unit cell a=7.7758 b=7.8841 c=11.9638 alpha=90.00 beta=90.73 gamma=90.00
Space group Cm (No. 8)
Inequivalent atoms, fractional coordinates:
Ba  0.0000  0.0000  0.0000
Ba  0.0034  0.5000  0.6205
Ba  0.4950  0.0000  0.0019
Ca  0.0018  0.0000  0.3030
La  0.0006  0.0000  0.5948
La  0.0028  0.5000  0.3107
Cu  0.2496  0.2504  0.1706
Cu  0.2522  0.2349  0.8004
Cu  0.2558  0.2505  0.4510
O  0.9997  0.2510  0.1815
O  0.0064  0.2443  0.4470
O  0.2120  0.0000  0.7664
O  0.2410  0.2569  0.9511
O  0.2486  0.0000  0.4498
O  0.2488  0.5000  0.1775
O  0.2500  0.0000  0.1790
O  0.2621  0.5000  0.4390
O  0.2933  0.2933  0.6544

Peak list (6 most intense, 15 to 90 degrees two-theta, low angle first)
| 2θ/deg | I (rel.) | h k l |
| --- | --- | --- |
| 31.93 | 88 | 2 0 -3 |
| 32.35 | 100 | 2 2 0 |
| 46.05 | 20 | 0 4 0 |
| 46.73 | 19 | 4 0 0 |
| 57.15 | 17 | 2 4 -3 |
| 57.43 | 22 | 2 4 3 |

---

For BaCa2Cu3O5, DFT lattice parameters and positions (GGA-PBE) gives the calculated powder XRD pattern in this record (CuKα).
Peak positions follow from Bragg's law for the DFT cell and can differ from measured ones.

Structural model:
Unit cell a=3.9418 b=3.9418 c=20.7087 alpha=90.00 beta=90.00 gamma=90.00
Space group P4/mmm (No. 123)
Inequivalent atoms, fractional coordinates:
Ba  0.0000  0.0000  0.1081
Ca  0.0000  0.0000  0.2727
Ca  0.0000  0.0000  0.4241
Cu  0.5000  0.5000  0.0000
Cu  0.5000  0.5000  0.1954
Cu  0.5000  0.5000  0.3453
Cu  0.5000  0.5000  0.5000
O  0.0000  0.5000  0.1908
O  0.0000  0.5000  0.3450
O  0.0000  0.5000  0.5000

Peak list (6 most intense, 15 to 90 degrees two-theta, low angle first)
| 2θ/deg | I (rel.) | h k l |
| --- | --- | --- |
| 28.46 | 29 | 1 0 4 |
| 31.33 | 45 | 1 0 5 |
| 32.11 | 72 | 1 1 0 |
| 34.54 | 100 | 1 0 6 |
| 46.05 | 56 | 2 0 0 |
| 58.82 | 41 | 2 1 6 |